Calculated powder X-ray diffraction pattern
Compound: Sr2TbSeO6
Radiation: Cu Kα X-rays
Structure: a structure optimized by DFT (PBE)

Main lines, sorted by position (2θ from 5° to 70°):
- (1 1 1), 2θ 18.54, I = 6.5
- (2 0 0), 2θ 21.44, I = 8.0
- (2 2 0), 2θ 30.51, I = 100.0
- (3 1 1), 2θ 35.94, I = 5.8
- (4 0 0), 2θ 43.68, I = 32.5
- (3 3 1), 2θ 47.84, I = 3.5
- (4 2 2), 2θ 54.22, I = 39.9
- (4 4 0), 2θ 63.49, I = 19.8

Structural model:
Lattice parameters (Å, degrees): 8.288 8.288 8.288 90.00 90.00 90.00
Space group Fm-3m (No. 225)
Inequivalent atoms, fractional coordinates:
Sr  0.250  0.250  0.250
Tb  0.000  0.000  0.000
Se  0.000  0.000  0.500
O  0.000  0.000  0.266

Calculated powder X-ray diffraction pattern
Compound: SrUSe2O10
Radiation: Cu Kα X-rays
Structure: a structure optimized by DFT (PBE)

Main lines, sorted by position (2θ from 5° to 70°):
- (0 0 1), 2θ 10.67, I = 61.5
- (-1 1 1), 2θ 17.28, I = 100.0
- (2 0 -1), 2θ 24.08, I = 24.6
- (0 2 -2), 2θ 25.03, I = 48.7
- (-1 1 2), 2θ 25.21, I = 21.6
- (2 0 0), 2θ 26.37, I = 25.8
- (1 1 -3), 2θ 28.79, I = 26.2
- (2 1 -1), 2θ 29.45, I = 26.8

Structural model:
Lattice parameters (Å, degrees): 7.654 8.384 9.470 106.81 107.32 105.08
Space group P-1 (No. 2)
Inequivalent atoms, fractional coordinates:
Sr  0.179  0.246  0.028
U  0.180  0.678  0.444
Se  0.260  0.075  0.361
Se  0.312  0.422  0.720
O  0.080  0.560  0.016
O  0.126  0.035  0.164
O  0.127  0.321  0.772
O  0.150  0.860  0.582
O  0.160  0.506  0.603
O  0.199  0.490  0.295
O  0.288  0.870  0.335
O  0.432  0.012  0.956
O  0.470  0.604  0.887
O  0.490  0.219  0.395

Calculated powder X-ray diffraction pattern
Compound: SrZnSe4O12
Radiation: Cu Kα X-rays
Structure: a structure optimized by DFT (PBE)

Main lines, sorted by position (2θ from 5° to 70°):
- (1 1 1), 2θ 19.76, I = 92.6
- (0 0 2), 2θ 20.88, I = 43.3
- (2 0 2), 2θ 31.76, I = 83.5
- (0 2 2), 2θ 31.94, I = 100.0
- (2 2 0), 2θ 33.88, I = 85.7
- (2 2 4), 2θ 55.42, I = 37.0
- (4 2 2), 2θ 59.19, I = 37.3
- (2 4 2), 2θ 59.51, I = 39.0

Structural model:
Lattice parameters (Å, degrees): 7.519 7.448 8.509 90.00 90.00 90.00
Space group Amm2 (No. 38)
Inequivalent atoms, fractional coordinates:
Sr  0.000  0.000  0.000
Zn  0.500  0.000  0.436
Se  0.256  0.239  0.726
O  0.000  0.213  0.678
O  0.205  0.000  0.242
O  0.257  0.190  0.916
O  0.317  0.000  0.625
O  0.500  0.177  0.224

Calculated powder X-ray diffraction pattern
Compound: SrZnSe2O6
Radiation: Cu Kα X-rays
Structure: a structure optimized by DFT (PBE)

Main lines, sorted by position (2θ from 5° to 70°):
- (0 1 1), 2θ 19.55, I = 58.8
- (0 0 2), 2θ 27.55, I = 17.8
- (0 2 0), 2θ 28.03, I = 28.1
- (2 1 1), 2θ 30.17, I = 100.0
- (2 0 2), 2θ 36.02, I = 20.2
- (0 1 3), 2θ 44.29, I = 20.6
- (4 0 0), 2θ 46.48, I = 18.2
- (2 3 1), 2θ 50.94, I = 25.1

Structural model:
Lattice parameters (Å, degrees): 7.817 6.366 6.476 90.00 90.00 90.00
Space group Pmc2_1 (No. 26)
Inequivalent atoms, fractional coordinates:
Sr  0.000  0.233  0.000
Zn  0.500  0.342  0.088
Se  0.243  0.281  0.407
O  0.000  0.149  0.397
O  0.180  0.486  0.808
O  0.300  0.155  0.176
O  0.500  0.416  0.411

Calculated powder X-ray diffraction pattern
Compound: SrZnSe2O6
Radiation: Cu Kα X-rays
Structure: a structure optimized by DFT (PBE)

Main lines, sorted by position (2θ from 5° to 70°):
- (0 2 2), 2θ 22.09, I = 61.7
- (1 2 0), 2θ 23.92, I = 100.0
- (1 2 -2), 2θ 25.33, I = 46.2
- (1 2 1), 2θ 28.40, I = 39.4
- (0 2 3), 2θ 30.61, I = 59.0
- (1 2 -3), 2θ 30.78, I = 43.3
- (0 5 1), 2θ 30.94, I = 52.8
- (2 0 -2), 2θ 39.52, I = 63.5

Structural model:
Lattice parameters (Å, degrees): 4.580 15.173 10.185 90.00 111.24 90.00
Space group P2_1/c (No. 14)
Inequivalent atoms, fractional coordinates:
Sr  0.212  0.117  0.459
Zn  0.008  0.151  0.777
Se  0.140  0.698  0.436
Se  0.473  0.505  0.721
O  0.094  0.210  0.961
O  0.098  0.520  0.720
O  0.128  0.188  0.229
O  0.226  0.690  0.926
O  0.337  0.534  0.111
O  0.420  0.117  0.757

Calculated powder X-ray diffraction pattern
Compound: Tb2Se2O7
Radiation: Cu Kα X-rays
Structure: a structure optimized by DFT (PBE)

Main lines, sorted by position (2θ from 5° to 70°):
- (1 1 0), 2θ 11.69, I = 16.9
- (2 2 1), 2θ 29.01, I = 100.0
- (4 0 0), 2θ 33.47, I = 29.7
- (0 0 2), 2θ 33.92, I = 13.3
- (4 4 0), 2θ 48.06, I = 13.1
- (4 0 2), 2θ 48.40, I = 25.3
- (6 2 1), 2θ 57.12, I = 31.0
- (2 2 3), 2θ 57.71, I = 13.7

Structural model:
Lattice parameters (Å, degrees): 10.709 10.709 5.286 90.00 90.00 90.00
Space group P4_2/ncm (No. 138, origin choice 2)
Inequivalent atoms, fractional coordinates:
Tb  0.128  0.628  0.000
Se  0.128  0.128  0.036
O  0.003  0.680  0.628
O  0.064  0.064  0.310
O  0.250  0.750  0.250

Calculated powder X-ray diffraction pattern
Compound: TeSeO4
Radiation: Cu Kα X-rays
Structure: a structure optimized by DFT (PBE)

Main lines, sorted by position (2θ from 5° to 70°):
- (0 1 1), 2θ 20.94, I = 95.6
- (2 0 0), 2θ 26.01, I = 91.5
- (1 2 1), 2θ 27.45, I = 100.0
- (0 4 0), 2θ 27.56, I = 70.4
- (0 3 1), 2θ 28.69, I = 65.4
- (2 1 1), 2θ 33.62, I = 36.3
- (1 1 2), 2θ 42.95, I = 43.9
- (3 2 1), 2θ 46.78, I = 39.9

Structural model:
Lattice parameters (Å, degrees): 6.851 12.944 4.491 90.00 90.00 90.00
Space group Ima2 (No. 46)
Inequivalent atoms, fractional coordinates:
Te  0.250  0.141  0.000
Se  0.250  0.624  0.745
O  0.063  0.641  0.483
O  0.250  0.006  0.311
O  0.250  0.202  0.392

Calculated powder X-ray diffraction pattern
Compound: TeSeO4
Radiation: Cu Kα X-rays
Structure: a structure optimized by DFT (PBE)

Main lines, sorted by position (2θ from 5° to 70°):
- (1 1 0), 2θ 14.66, I = 35.1
- (1 1 -1), 2θ 21.01, I = 100.0
- (2 0 0), 2θ 26.03, I = 99.0
- (0 2 1), 2θ 27.50, I = 55.8
- (2 2 -1), 2θ 27.61, I = 53.6
- (0 4 0), 2θ 27.73, I = 75.0
- (1 3 -1), 2θ 28.83, I = 71.1
- (2 4 0), 2θ 38.40, I = 35.0

Structural model:
Lattice parameters (Å, degrees): 8.158 12.868 4.476 90.00 122.95 90.00
Space group Cc (No. 9)
Inequivalent atoms, fractional coordinates:
Te  0.000  0.109  0.000
Se  0.004  0.376  0.250
O  0.191  0.389  0.168
O  0.317  0.104  0.307
O  0.495  0.452  0.886
O  0.497  0.255  0.818

Calculated powder X-ray diffraction pattern
Compound: ThSeO
Radiation: Cu Kα X-rays
Structure: a structure optimized by DFT (PBE)

Main lines, sorted by position (2θ from 5° to 70°):
- (1 0 1), 2θ 25.35, I = 76.3
- (1 1 0), 2θ 31.30, I = 87.7
- (1 0 2), 2θ 33.59, I = 100.0
- (1 1 2), 2θ 40.51, I = 36.9
- (2 0 0), 2θ 44.86, I = 40.9
- (2 1 1), 2θ 52.23, I = 23.1
- (1 0 4), 2θ 56.59, I = 24.8
- (2 1 2), 2θ 57.18, I = 44.2

Structural model:
Lattice parameters (Å, degrees): 4.041 4.041 7.106 90.00 90.00 90.00
Space group P4/nmm (No. 129, origin choice 2)
Inequivalent atoms, fractional coordinates:
Th  0.250  0.250  0.188
Se  0.250  0.250  0.636
O  0.250  0.750  0.000

Calculated powder X-ray diffraction pattern
Compound: ThSe2O7
Radiation: Cu Kα X-rays
Structure: a structure optimized by DFT (PBE)

Main lines, sorted by position (2θ from 5° to 70°):
- (0 1 1), 2θ 13.51, I = 100.0
- (0 2 0), 2θ 18.35, I = 47.1
- (1 2 -1), 2θ 23.31, I = 63.5
- (1 0 2), 2θ 26.10, I = 60.1
- (2 1 -1), 2θ 26.93, I = 81.4
- (1 2 -2), 2θ 28.07, I = 57.8
- (1 1 -3), 2θ 31.28, I = 54.1
- (3 1 -3), 2θ 44.73, I = 52.7

Structural model:
Lattice parameters (Å, degrees): 7.142 9.667 9.166 90.00 103.27 90.00
Space group P2_1/c (No. 14)
Inequivalent atoms, fractional coordinates:
Th  0.208  0.040  0.366
Se  0.121  0.682  0.518
Se  0.328  0.096  0.749
O  0.046  0.586  0.365
O  0.060  0.235  0.908
O  0.104  0.060  0.625
O  0.254  0.690  0.975
O  0.269  0.587  0.648
O  0.337  0.227  0.257
O  0.449  0.061  0.607

Question: Which formula does entry 5 have?
Answer: SrZnSe2O6